# 1
Computed powder diffraction line list of K2YRhO4 for CuKα, from a crystal structure in Alexandria, relaxed with GGA-PBE.

Structure:
Cell lengths 5.6011, 3.3844, 6.4984 Å; angles 90.00, 108.11, 90.00 degrees
Space group P2/m (No. 10)
Inequivalent atoms, fractional coordinates:
K (0.0000, 0.0000, 0.0000) (multiplicity 1)
K (0.5000, 0.5000, 0.0000) (multiplicity 1)
Y (0.0000, 0.5000, 0.5000) (multiplicity 1)
Rh (0.5000, 0.0000, 0.5000) (multiplicity 1)
O (0.2412, 0.0000, 0.6923) (multiplicity 2)
O (0.2948, 0.5000, 0.3205) (multiplicity 2)

The 8 most intense peaks (2θ from 10° to 90°), sorted by position:
| index | 2θ/deg | Rel. int. |
| --- | --- | --- |
| 0 0 1 | 14.34 | 938 |
| 0 0 2 | 28.91 | 468 |
| 1 1 -1 | 32.26 | 668 |
| 2 0 0 | 33.67 | 271 |
| 1 1 1 | 36.81 | 1000 |
| 2 0 -2 | 37.11 | 498 |
| 1 1 -3 | 50.11 | 338 |
| 3 1 -1 | 56.30 | 324 |

---

# 2
Computed powder diffraction line list of KZrRhO4 for CuKα, from a crystal structure in Alexandria, relaxed with GGA-PBE.

Structure:
Cell lengths 6.7344, 6.9141, 8.7951 Å; angles 90.00, 90.00, 90.00 degrees
Space group Imma (No. 74)
Inequivalent atoms, fractional coordinates:
K (0.0000, 0.2500, 0.1380) (multiplicity 4)
Zr (0.2500, 0.2500, 0.7500) (multiplicity 4)
Rh (0.0000, 0.0000, 0.5000) (multiplicity 4)
O (0.0000, 0.0585, 0.7398) (multiplicity 8)
O (0.1880, 0.2500, 0.5106) (multiplicity 8)

The 8 most intense peaks (2θ from 10° to 90°), sorted by position:
| index | 2θ/deg | Rel. int. |
| --- | --- | --- |
| 0 1 1 | 16.31 | 688 |
| 1 0 1 | 16.58 | 1000 |
| 1 2 1 | 30.80 | 709 |
| 2 1 1 | 31.25 | 605 |
| 0 2 2 | 32.96 | 436 |
| 1 0 3 | 33.33 | 422 |
| 2 2 0 | 37.28 | 612 |
| 2 2 4 | 56.64 | 620 |